For CsVC6, a DFT-relaxed cell (PBE, the Materials Project) gives the simulated powder XRD pattern in this record (λ = 1.5418 Å (Cu Kα)).

```
CsVC6
1.0
5.300 0.000 0.000
0.000 5.300 0.000
0.000 0.000 5.300
Cs V C
1 1 6
Cartesian
0.000 0.000 0.000 Cs
2.650 2.650 2.650 V
0.635 2.650 2.650 C
2.650 0.635 2.650 C
2.650 2.650 0.635 C
2.650 2.650 4.665 C
2.650 4.665 2.650 C
4.665 2.650 2.650 C
```

Top 10 peaks for 10 to 90 degrees two-theta, in order of falling intensity:
2θ/deg	Rel. int.
23.74	100
41.75	35
33.83	35
54.77	25
65.95	24
29.19	23
48.59	19
76.22	11
37.96	11
16.73	7

For Tb2Ga9Ru3, a DFT-relaxed cell (PBE, the Materials Project) gives the simulated powder XRD pattern in this record (λ = 1.5418 Å (Cu Kα)).

```
Tb2Ga9Ru3
1.0
6.463 -3.771 0.000
6.463 3.771 0.000
0.000 0.000 9.743
Tb Ga Ru
4 18 6
Cartesian
4.349 2.515 7.307 Tb
8.577 2.515 7.307 Tb
4.349 -2.515 2.436 Tb
8.577 -2.515 2.436 Tb
4.338 2.481 0.743 Ga
4.338 2.481 4.129 Ga
6.463 2.817 2.436 Ga
8.588 2.481 0.743 Ga
8.588 2.481 4.129 Ga
5.096 0.432 2.436 Ga
6.463 1.222 5.455 Ga
6.463 1.222 9.160 Ga
5.096 -0.432 7.307 Ga
7.829 0.432 2.436 Ga
6.463 -1.222 0.584 Ga
6.463 -1.222 4.288 Ga
7.829 -0.432 7.307 Ga
4.338 -2.481 5.614 Ga
4.338 -2.481 9.000 Ga
6.463 -2.817 7.307 Ga
8.588 -2.481 5.614 Ga
8.588 -2.481 9.000 Ga
0.000 0.000 0.000 Ru
0.000 0.000 4.872 Ru
4.207 0.000 0.000 Ru
4.207 0.000 4.872 Ru
8.719 0.000 0.000 Ru
8.719 0.000 4.872 Ru
```

Top 10 peaks for 10 to 90 degrees two-theta, in order of falling intensity:
2θ/deg	Rel. int.
36.64	100
41.59	83
36.51	48
41.94	40
56.80	31
36.90	31
62.30	21
72.73	19
37.81	18
30.12	18

For Mg3ZnO4, a DFT-relaxed cell (PBE, the Materials Project) gives the simulated powder XRD pattern in this record (λ = 1.5418 Å (Cu Kα)).

```
Mg3ZnO4
1.0
3.023 -4.277 0.000
3.023 4.277 0.000
0.000 0.000 3.028
Mg Zn O
3 1 4
Cartesian
0.000 0.000 0.000 Mg
1.512 2.138 1.514 Mg
1.512 -2.138 1.514 Mg
3.023 0.000 0.000 Zn
1.476 0.000 1.514 O
3.023 2.166 0.000 O
3.023 -2.166 0.000 O
4.570 0.000 1.514 O
```

Top 10 peaks for 10 to 90 degrees two-theta, in order of falling intensity:
2θ/deg	Rel. int.
42.25	100
61.28	48
36.37	31
17.97	25
34.77	17
73.41	15
20.77	10
61.33	10
77.20	9
77.30	9